Calculated PXRD pattern
Compound: NaMgB12
Radiation: λ = 1.5418 Å (Cu Kα)
Structure: a structure optimized by DFT (PBE)

Structural model:
```
data_NaMgB12
_chemical_formula_sum 'Na1 Mg1 B12'
_symmetry_space_group_name_H-M 'P 4/m m m'
_symmetry_Int_Tables_number 123
_symmetry_space_group_name_Hall '-P 4 2'
_cell_length_a 4.136
_cell_length_b 4.136
_cell_length_c 8.267
_cell_angle_alpha 90.00
_cell_angle_beta 90.00
_cell_angle_gamma 90.00
loop_
_atom_site_label
_atom_site_type_symbol
_atom_site_fract_x
_atom_site_fract_y
_atom_site_fract_z
Na1 Na 0.000 0.000 0.000
Mg1 Mg 0.000 0.000 0.500
B1 B 0.199 0.500 0.253
B2 B 0.500 0.500 0.101
B3 B 0.500 0.500 0.402
```

Peak list (12 most intense, 10° ≤ 2θ ≤ 90°, in order of rising 2θ)
| 2theta | I_rel | h k l |
| --- | --- | --- |
| 21.49 | 7 | 1 0 0 |
| 30.58 | 100 | 1 1 0 |
| 37.68 | 60 | 1 1 2 |
| 43.79 | 33 | 2 0 0 |
| 49.28 | 36 | 1 0 4 |
| 54.35 | 1 | 2 1 2 |
| 63.65 | 3 | 2 2 0 |
| 68.02 | 47 | 2 2 2 |
| 72.25 | 30 | 3 1 0 |
| 76.39 | 6 | 3 1 2 |
| 84.48 | 1 | 3 0 4 |
| 88.47 | 6 | 2 1 6 |



Calculated PXRD pattern
Compound: NaMg2B9
Radiation: λ = 1.5418 Å (Cu Kα)
Structure: a structure optimized by DFT (PBE)

Structural model:
```
data_NaMg2B9
_chemical_formula_sum 'Na3 Mg6 B27'
_symmetry_space_group_name_H-M 'R -3 m'
_symmetry_Int_Tables_number 166
_symmetry_space_group_name_Hall '-R 3 2"'
_cell_length_a 4.6045
_cell_length_b 4.6045
_cell_length_c 22.6425
_cell_angle_alpha 90.00
_cell_angle_beta 90.00
_cell_angle_gamma 120.00
loop_
_atom_site_label
_atom_site_type_symbol
_atom_site_fract_x
_atom_site_fract_y
_atom_site_fract_z
Na1 Na 0.0000 0.0000 0.0000
Mg1 Mg 0.0000 0.0000 0.1304
B1 B 0.0000 0.0000 0.2391
B2 B 0.0000 0.0000 0.5000
B3 B 0.0882 0.5441 0.0976
```

Peak list (12 most intense, 10° ≤ 2θ ≤ 90°, in order of rising 2θ)
| 2theta | I_rel | h k l |
| --- | --- | --- |
| 11.73 | 100 | 0 0 3 |
| 22.64 | 14 | 1 0 1 |
| 23.64 | 17 | 0 1 2 |
| 35.73 | 64 | 0 0 9 |
| 39.03 | 35 | 0 1 8 |
| 39.13 | 54 | 1 1 0 |
| 45.68 | 23 | 0 2 1 |
| 54.00 | 14 | 1 1 9 |
| 56.45 | 18 | 2 0 8 |
| 61.68 | 10 | 2 1 1 |
| 70.63 | 10 | 1 0 16 |
| 70.84 | 29 | 1 2 8 |



Calculated PXRD pattern
Compound: NaMg6BO7
Radiation: λ = 1.5418 Å (Cu Kα)
Structure: a structure optimized by DFT (PBE)

Structural model:
```
data_NaMg6BO7
_chemical_formula_sum 'Na1 Mg6 B1 O7'
_symmetry_space_group_name_H-M 'P 4 m m'
_symmetry_Int_Tables_number 99
_cell_length_a 4.403
_cell_length_b 4.403
_cell_length_c 8.040
_cell_angle_alpha 90.00
_cell_angle_beta 90.00
_cell_angle_gamma 90.00
loop_
_symmetry_equiv_pos_as_xyz
'x,y,z'
'-y,x,z'
'-x,-y,z'
'y,-x,z'
'-x,y,z'
'y,x,z'
'x,-y,z'
'-y,-x,z'
loop_
_atom_site_label
_atom_site_type_symbol
_atom_site_fract_x
_atom_site_fract_y
_atom_site_fract_z
Na1 Na 0.000 0.000 0.000
Mg1 Mg 0.000 0.500 0.263
Mg2 Mg 0.000 0.500 0.752
Mg3 Mg 0.500 0.500 0.007
Mg4 Mg 0.500 0.500 0.507
B1 B 0.000 0.000 0.511
O1 O 0.000 0.000 0.689
O2 O 0.000 0.500 0.008
O3 O 0.000 0.500 0.506
O4 O 0.500 0.500 0.258
O5 O 0.500 0.500 0.756
```

Peak list (12 most intense, 10° ≤ 2θ ≤ 90°, in order of rising 2θ)
| 2theta | I_rel | h k l |
| --- | --- | --- |
| 11.00 | 5 | 0 0 1 |
| 20.17 | 10 | 1 0 0 |
| 23.03 | 4 | 1 0 1 |
| 28.67 | 4 | 1 1 0 |
| 36.50 | 19 | 1 1 2 |
| 40.99 | 100 | 2 0 0 |
| 45.11 | 32 | 0 0 4 |
| 59.36 | 28 | 2 2 0 |
| 62.58 | 42 | 2 0 4 |
| 71.73 | 8 | 3 1 2 |
| 77.56 | 24 | 2 2 4 |
| 88.90 | 8 | 4 0 0 |



Calculated PXRD pattern
Compound: NaMg6BO7
Radiation: λ = 1.5418 Å (Cu Kα)
Structure: a structure optimized by DFT (PBE)

Structural model:
```
data_NaMg6BO7
_chemical_formula_sum 'Na1 Mg6 B1 O7'
_symmetry_space_group_name_H-M 'P 4 m m'
_symmetry_Int_Tables_number 99
_cell_length_a 4.471
_cell_length_b 4.471
_cell_length_c 7.969
_cell_angle_alpha 90.00
_cell_angle_beta 90.00
_cell_angle_gamma 90.00
loop_
_symmetry_equiv_pos_as_xyz
'x,y,z'
'-y,x,z'
'-x,-y,z'
'y,-x,z'
'-x,y,z'
'y,x,z'
'x,-y,z'
'-y,-x,z'
loop_
_atom_site_label
_atom_site_type_symbol
_atom_site_fract_x
_atom_site_fract_y
_atom_site_fract_z
Na1 Na 0.000 0.000 0.000
Mg1 Mg 0.000 0.500 0.252
Mg2 Mg 0.000 0.500 0.742
Mg3 Mg 0.500 0.500 0.001
Mg4 Mg 0.500 0.500 0.494
B1 B 0.000 0.000 0.498
O1 O 0.000 0.000 0.324
O2 O 0.000 0.000 0.674
O3 O 0.000 0.500 0.497
O4 O 0.000 0.500 0.997
O5 O 0.500 0.500 0.747
```

Peak list (12 most intense, 10° ≤ 2θ ≤ 90°, in order of rising 2θ)
| 2theta | I_rel | h k l |
| --- | --- | --- |
| 11.10 | 5 | 0 0 1 |
| 36.27 | 22 | 1 1 2 |
| 39.46 | 6 | 1 0 3 |
| 40.35 | 100 | 2 0 0 |
| 45.53 | 25 | 0 0 4 |
| 54.44 | 5 | 1 1 4 |
| 58.38 | 29 | 2 2 0 |
| 62.44 | 34 | 2 0 4 |
| 70.70 | 9 | 3 1 2 |
| 77.01 | 17 | 2 2 4 |
| 78.04 | 6 | 1 1 6 |
| 87.22 | 8 | 4 0 0 |



Calculated PXRD pattern
Compound: Na2MgB2Pt5
Radiation: λ = 1.5418 Å (Cu Kα)
Structure: a structure optimized by DFT (PBE)

Structural model:
```
data_Na2MgB2Pt5
_chemical_formula_sum 'Na4 Mg2 B4 Pt10'
_symmetry_space_group_name_H-M 'P 4/m b m'
_symmetry_Int_Tables_number 127
_symmetry_space_group_name_Hall '-P 4 2ab'
_cell_length_a 10.137
_cell_length_b 10.137
_cell_length_c 2.877
_cell_angle_alpha 90.00
_cell_angle_beta 90.00
_cell_angle_gamma 90.00
loop_
_atom_site_label
_atom_site_type_symbol
_atom_site_fract_x
_atom_site_fract_y
_atom_site_fract_z
Na1 Na 0.180 0.320 0.000
Mg1 Mg 0.000 0.000 0.000
B1 B 0.125 0.625 0.000
Pt1 Pt 0.000 0.500 0.500
Pt2 Pt 0.066 0.775 0.500
```

Peak list (12 most intense, 10° ≤ 2θ ≤ 90°, in order of rising 2θ)
| 2theta | I_rel | h k l |
| --- | --- | --- |
| 19.58 | 73 | 2 1 0 |
| 27.83 | 54 | 3 1 0 |
| 31.09 | 100 | 0 0 1 |
| 31.83 | 58 | 3 2 0 |
| 35.42 | 42 | 4 0 0 |
| 36.55 | 91 | 4 1 0 |
| 37.01 | 43 | 2 1 1 |
| 39.77 | 59 | 4 2 0 |
| 42.21 | 69 | 3 1 1 |
| 45.09 | 57 | 3 2 1 |
| 48.72 | 57 | 4 1 1 |
| 51.32 | 43 | 4 2 1 |



Calculated PXRD pattern
Compound: Mg14NbB
Radiation: λ = 1.5418 Å (Cu Kα)
Structure: a structure optimized by DFT (PBE)

Structural model:
```
data_Mg14NbB
_chemical_formula_sum 'Mg14 Nb1 B1'
_symmetry_space_group_name_H-M 'P -6 m 2'
_symmetry_Int_Tables_number 187
_symmetry_space_group_name_Hall 'P -6 2'
_cell_length_a 6.2426
_cell_length_b 6.2426
_cell_length_c 9.7484
_cell_angle_alpha 90.00
_cell_angle_beta 90.00
_cell_angle_gamma 120.00
loop_
_atom_site_label
_atom_site_type_symbol
_atom_site_fract_x
_atom_site_fract_y
_atom_site_fract_z
Mg1 Mg 0.0000 0.0000 0.2426
Mg2 Mg 0.0230 0.5115 0.2616
Mg3 Mg 0.3268 0.1634 0.5000
Mg4 Mg 0.3429 0.1715 0.0000
Nb1 Nb 0.3333 0.6667 0.0000
B1 B 0.3333 0.6667 0.5000
```

Peak list (12 most intense, 10° ≤ 2θ ≤ 90°, in order of rising 2θ)
| 2theta | I_rel | h k l |
| --- | --- | --- |
| 16.40 | 12 | 1 0 0 |
| 18.77 | 26 | 1 0 1 |
| 30.06 | 10 | 1 1 1 |
| 32.14 | 10 | 1 0 3 |
| 33.14 | 26 | 2 0 0 |
| 36.88 | 24 | 0 0 4 |
| 38.07 | 100 | 2 0 2 |
| 50.42 | 15 | 2 0 4 |
| 59.20 | 17 | 2 2 0 |
| 67.23 | 17 | 2 0 6 |
| 71.83 | 18 | 2 2 4 |
| 72.59 | 13 | 4 0 2 |



Calculated PXRD pattern
Compound: Mg14NbB
Radiation: λ = 1.5418 Å (Cu Kα)
Structure: a structure optimized by DFT (PBE)

Structural model:
```
data_Mg14NbB
_chemical_formula_sum 'Mg28 Nb2 B2'
_symmetry_space_group_name_H-M 'A m m 2'
_symmetry_Int_Tables_number 38
_cell_length_a 9.933
_cell_length_b 5.843
_cell_length_c 11.588
_cell_angle_alpha 90.00
_cell_angle_beta 90.00
_cell_angle_gamma 90.00
loop_
_symmetry_equiv_pos_as_xyz
'x,y,z'
'-x,-y,z'
'-x,y,z'
'x,-y,z'
'x,y+1/2,z+1/2'
'-x,-y+1/2,z+1/2'
'-x,y+1/2,z+1/2'
'x,-y+1/2,z+1/2'
loop_
_atom_site_label
_atom_site_type_symbol
_atom_site_fract_x
_atom_site_fract_y
_atom_site_fract_z
Mg1 Mg 0.000 0.000 0.000
Mg2 Mg 0.000 0.000 0.485
Mg3 Mg 0.000 0.248 0.240
Mg4 Mg 0.252 0.000 0.642
Mg5 Mg 0.259 0.246 0.395
Mg6 Mg 0.341 0.000 0.099
Mg7 Mg 0.500 0.237 0.763
Nb1 Nb 0.500 0.000 0.507
B1 B 0.500 0.000 0.935
```

Peak list (12 most intense, 10° ≤ 2θ ≤ 90°, in order of rising 2θ)
| 2theta | I_rel | h k l |
| --- | --- | --- |
| 16.99 | 23 | 0 1 1 |
| 19.22 | 21 | 1 1 1 |
| 29.13 | 19 | 1 1 3 |
| 32.00 | 31 | 3 1 1 |
| 33.14 | 23 | 2 1 3 |
| 34.38 | 56 | 0 2 2 |
| 35.89 | 85 | 2 0 4 |
| 36.17 | 37 | 4 0 0 |
| 39.00 | 100 | 2 2 2 |
| 40.22 | 20 | 4 1 1 |
| 50.75 | 23 | 4 2 2 |
| 75.33 | 19 | 2 4 4 |



- What is the formula in the third record?
  NaMg6BO7